Entry 1:
# V4CdSe3O18
Calculated powder XRD pattern, Cu Kα. Input: a cell relaxed with GGA+U.

Structure:
abc: 6.4138 7.6264 16.0269
angles: 101.27 98.90 93.63
Positions (direct):
V 0.0391 0.4540 0.2904
V 0.0653 0.6446 0.9391
V 0.1718 0.7715 0.1652
V 0.3423 0.6207 0.4808
V 0.6577 0.3793 0.5192
V 0.8282 0.2285 0.8348
V 0.9347 0.3554 0.0609
V 0.9609 0.5460 0.7096
Cd 0.1782 0.2070 0.5749
Cd 0.8218 0.7930 0.4251
Se 0.2933 0.9627 0.3708
Se 0.3149 0.2768 0.9423
Se 0.4968 0.5313 0.7717
Se 0.5032 0.4687 0.2283
Se 0.6851 0.7232 0.0577
Se 0.7067 0.0373 0.6292
O 0.0168 0.7550 0.7101
O 0.0441 0.4700 0.1783
O 0.0862 0.5845 0.4065
O 0.1109 0.0059 0.4367
O 0.1224 0.1746 0.8555
O 0.1242 0.6329 0.0572
O 0.1333 0.8054 0.2866
O 0.1894 0.8301 0.9313
O 0.2026 0.2725 0.0346
O 0.2494 0.4532 0.7080
O 0.2887 0.9617 0.1600
O 0.2895 0.7445 0.5678
O 0.2989 0.0561 0.6900
O 0.3085 0.5012 0.9318
O 0.3542 0.3928 0.5038
O 0.3553 0.4608 0.3102
O 0.4459 0.6714 0.1999
O 0.4483 0.8203 0.4225
O 0.5517 0.1797 0.5775
O 0.5541 0.3286 0.8001
O 0.6447 0.5392 0.6898
O 0.6458 0.6072 0.4962
O 0.6915 0.4988 0.0682
O 0.7011 0.9439 0.3100
O 0.7105 0.2555 0.4322
O 0.7113 0.0383 0.8400
O 0.7506 0.5468 0.2920
O 0.7974 0.7275 0.9654
O 0.8106 0.1699 0.0687
O 0.8667 0.1946 0.7134
O 0.8758 0.3671 0.9428
O 0.8776 0.8254 0.1445
O 0.8891 0.9941 0.5633
O 0.9138 0.4155 0.5935
O 0.9559 0.5300 0.8217
O 0.9832 0.2450 0.2899

Most intense lines, 2θ = 5–70°, in order of falling intensity:
2theta  Rel. int.
12.1  100
28.1  53
29.8  52
5.7  45
11.9  42
31.0  28
28.7  24
22.9  24
23.4  23
32.4  23


Entry 2:
# V3Cd5O12
Calculated powder XRD pattern, Cu Kα. Input: a cell relaxed with GGA+U.

Structure:
abc: 9.4579 9.4579 7.1478
angles: 106.33 106.33 94.22
Positions (direct):
V 0.1575 0.3787 0.8688
V 0.2023 0.7977 0.7500
V 0.3787 0.1575 0.3688
V 0.6213 0.8425 0.6312
V 0.7977 0.2023 0.2500
V 0.8425 0.6213 0.1312
Cd 0.0000 0.0000 0.0000
Cd 0.0000 0.0000 0.5000
Cd 0.1307 0.4388 0.3654
Cd 0.2302 0.7698 0.2500
Cd 0.4388 0.1307 0.8654
Cd 0.4896 0.5104 0.7500
Cd 0.5104 0.4896 0.2500
Cd 0.5612 0.8693 0.1346
Cd 0.7698 0.2302 0.7500
Cd 0.8693 0.5612 0.6346
O 0.0206 0.7824 0.7685
O 0.0308 0.2079 0.8022
O 0.1009 0.4605 0.6809
O 0.1661 0.5087 0.1011
O 0.2079 0.0308 0.3022
O 0.2176 0.9794 0.7315
O 0.2309 0.6848 0.5288
O 0.3152 0.7691 0.9712
O 0.3462 0.3522 0.8941
O 0.3522 0.3462 0.3941
O 0.4605 0.1009 0.1809
O 0.4913 0.8339 0.3989
O 0.5087 0.1661 0.6011
O 0.5395 0.8991 0.8191
O 0.6478 0.6538 0.6059
O 0.6538 0.6478 0.1059
O 0.6848 0.2309 0.0288
O 0.7691 0.3152 0.4712
O 0.7824 0.0206 0.2685
O 0.7921 0.9692 0.6978
O 0.8339 0.4913 0.8989
O 0.8991 0.5395 0.3191
O 0.9692 0.7921 0.1978
O 0.9794 0.2176 0.2315

Most intense lines, 2θ = 5–70°, in order of falling intensity:
2theta  Rel. int.
30.0  100
31.9  54
28.2  37
30.5  36
32.1  27
47.4  20
41.9  18
19.2  15
51.7  14
58.7  14


Entry 3:
# V3CdO7
Calculated powder XRD pattern, Cu Kα. Input: a cell relaxed with GGA+U.

Structure:
abc: 10.6538 10.4629 5.3771
angles: 90.00 90.00 90.00
Positions (direct):
V 0.1861 0.0236 0.2162
V 0.1861 0.4764 0.2162
V 0.2143 0.2500 0.7075
V 0.2857 0.7500 0.2075
V 0.3139 0.5236 0.7162
V 0.3139 0.9764 0.7162
V 0.6861 0.0236 0.2838
V 0.6861 0.4764 0.2838
V 0.7143 0.2500 0.7925
V 0.7857 0.7500 0.2925
V 0.8139 0.5236 0.7838
V 0.8139 0.9764 0.7838
Cd 0.0784 0.7500 0.6876
Cd 0.4216 0.2500 0.1876
Cd 0.5784 0.7500 0.8124
Cd 0.9216 0.2500 0.3124
O 0.0391 0.0770 0.2310
O 0.0391 0.4230 0.2310
O 0.0590 0.2500 0.6898
O 0.2196 0.6183 0.9755
O 0.2196 0.8817 0.9755
O 0.2228 0.6192 0.4516
O 0.2228 0.8808 0.4516
O 0.2772 0.1192 0.9516
O 0.2772 0.3808 0.9516
O 0.2804 0.1183 0.4755
O 0.2804 0.3817 0.4755
O 0.4410 0.7500 0.1898
O 0.4609 0.5770 0.7310
O 0.4609 0.9230 0.7310
O 0.5391 0.0770 0.2690
O 0.5391 0.4230 0.2690
O 0.5590 0.2500 0.8102
O 0.7196 0.6183 0.5245
O 0.7196 0.8817 0.5245
O 0.7228 0.6192 0.0484
O 0.7228 0.8808 0.0484
O 0.7772 0.1192 0.5484
O 0.7772 0.3808 0.5484
O 0.7804 0.1183 0.0245
O 0.7804 0.3817 0.0245
O 0.9410 0.7500 0.3102
O 0.9609 0.5770 0.7690
O 0.9609 0.9230 0.7690

Most intense lines, 2θ = 5–70°, in order of falling intensity:
2theta  Rel. int.
29.1  100
25.0  36
18.5  22
48.6  19
33.3  18
16.6  16
23.8  16
37.7  15
34.3  14
18.7  13